Record 1
# Rb2LiAcBr6
Computed powder X-ray diffraction pattern, λ = 1.5418 Å (Cu Kα). Input: a structure optimized by DFT (PBE).

Structural model:
```
Rb2LiAcBr6
1.0
7.9694 0.0000 0.0000
0.0000 8.2387 0.0000
-7.8505 0.0000 11.3069
Rb Li Ac Br
4 2 2 12
direct
0.2297 0.0602 0.2479
0.2297 0.4398 0.7479
0.7703 0.5602 0.2521
0.7703 0.9398 0.7521
0.0000 0.0000 0.5000
0.0000 0.5000 0.0000
0.5000 0.0000 0.0000
0.5000 0.5000 0.5000
0.1526 0.2134 0.9561
0.1526 0.2866 0.4561
0.2461 0.6997 0.9587
0.2461 0.8003 0.4587
0.3207 0.0190 0.7380
0.3207 0.4810 0.2380
0.6793 0.5190 0.7620
0.6793 0.9810 0.2620
0.7539 0.1997 0.5413
0.7539 0.3003 0.0413
0.8474 0.7134 0.5439
0.8474 0.7866 0.0439
```

The 10 most intense peaks (10° ≤ 2θ ≤ 80°), in order of rising 2θ:
two_theta  Rel. int.  (hkl)
13.30  60  0 1 1
13.66  34  1 0 -2
15.47  40  1 1 -1
25.55  50  1 2 0
25.99  83  2 1 -1
26.26  50  1 0 -4
31.23  100  2 2 -2
31.65  56  0 0 4
34.57  36  3 0 -2
47.52  32  3 2 -6

Record 2
# LiAc2S2Br2
Computed powder X-ray diffraction pattern, λ = 1.5418 Å (Cu Kα). Input: a structure optimized by DFT (PBE).

Structural model:
```
LiAc2S2Br2
1.0
4.9412 0.0000 0.0000
-2.4706 4.2792 0.0000
0.0000 0.0000 12.3111
Li Ac S Br
1 2 2 2
direct
0.0000 0.0000 0.0000
0.3333 0.6667 0.6441
0.6667 0.3333 0.3559
0.3333 0.6667 0.4056
0.6667 0.3333 0.5944
0.0000 0.0000 0.2017
0.0000 0.0000 0.7983
```

The 10 most intense peaks (10° ≤ 2θ ≤ 80°), in order of rising 2θ:
two_theta  Rel. int.  (hkl)
21.99  100  1 0 1
25.35  64  1 0 2
30.17  47  0 1 3
35.94  31  1 0 4
36.36  54  1 1 0
37.11  17  1 1 1
42.35  25  0 1 5
42.90  18  0 2 1
47.17  16  1 1 4
65.13  24  1 1 7

Record 3
# Ac3Br2N2
Computed powder X-ray diffraction pattern, λ = 1.5418 Å (Cu Kα). Input: a structure optimized by DFT (PBE).

Structural model:
```
Ac3Br2N2
1.0
3.8169 0.0000 0.0000
-1.8966 6.5551 0.0000
-0.0038 -1.5035 7.9765
Ac Br N
3 2 2
direct
0.0000 0.0000 0.0000
0.2244 0.4481 0.7976
0.7756 0.5519 0.2024
0.1201 0.2382 0.3789
0.8799 0.7618 0.6211
0.3613 0.7224 0.0493
0.6387 0.2776 0.9507
```

The 10 most intense peaks (10° ≤ 2θ ≤ 80°), in order of rising 2θ:
two_theta  Rel. int.  (hkl)
11.09  73  0 0 1
24.32  59  1 -1 0
27.34  62  1 0 1
27.89  65  0 2 -1
28.42  88  0 1 2
31.99  100  1 1 -1
34.04  65  0 1 -3
40.89  36  1 0 -3
45.63  44  1 2 1
56.43  50  -2 2 2

Record 4
# Ac2BrN2
Computed powder X-ray diffraction pattern, λ = 1.5418 Å (Cu Kα). Input: a structure optimized by DFT (PBE).

Structural model:
```
Ac2BrN2
1.0
4.2299 0.0000 0.0000
-2.1149 3.6632 0.0000
0.0000 0.0000 8.0727
Ac Br N
2 1 2
direct
0.3333 0.6667 0.3081
0.6667 0.3333 0.6919
0.0000 0.0000 0.0000
0.3333 0.6667 0.6222
0.6667 0.3333 0.3778
```

The 10 most intense peaks (10° ≤ 2θ ≤ 80°), in order of rising 2θ:
two_theta  Rel. int.  (hkl)
26.72  100  0 1 1
33.02  46  1 0 2
33.30  16  0 0 3
41.65  11  0 1 3
42.75  30  1 1 0
51.14  18  2 0 1
51.71  18  0 1 4
55.06  11  0 2 2
55.24  23  1 1 3
68.79  15  1 2 1